Record 1
Starting from a DFT-relaxed cell (GGA-PBE, Alexandria), the powder diffraction line list of Pm12Pr2Y5 was calculated for CuKα.

Cell: 16.196 10.176 11.467 Å, 90.00 134.81 90.00°
Space group C2/m (No. 12)
One atom of each set of equivalent atoms:
Pm: 0.101 0.249 0.402 x8
Pm: 0.197 0.500 0.300 x4
Pm: 0.201 0.250 0.803 x8
Pm: 0.203 0.000 0.300 x4
Pr: 0.000 0.250 0.000 x4
Y: 0.000 0.500 0.500 x2
Y: 0.098 0.500 0.895 x4
Y: 0.104 0.000 0.908 x4

Most intense lines, 5 to 70 degrees two-theta, in order of rising 2θ:
2θ 30.25, intensity 100, (4 2 -1)
2θ 34.87, intensity 17, (2 0 2)
2θ 35.05, intensity 17, (6 0 -4)
2θ 35.28, intensity 17, (0 4 0)
2θ 50.24, intensity 6, (4 0 -6)
2θ 50.45, intensity 12, (2 4 2)
2θ 50.58, intensity 12, (6 4 -4)
2θ 59.68, intensity 14, (6 2 1)
2θ 59.92, intensity 14, (10 2 -5)
2θ 60.23, intensity 14, (4 6 -1)
2θ 62.88, intensity 6, (4 4 -6)
2θ 62.93, intensity 6, (8 4 -2)

***

Record 2
Starting from a DFT-relaxed cell (GGA-PBE, Alexandria), the powder diffraction line list of In2Co2Cu was calculated for CuKα.

Cell: 5.350 4.202 7.073 Å, 90.00 90.59 90.00°
Space group Pm (No. 6)
One atom of each set of equivalent atoms:
In: 0.000 0.000 0.000 x1
In: 0.020 0.500 0.614 x1
In: 0.488 0.000 0.696 x1
In: 0.526 0.500 0.289 x1
Co: 0.037 0.500 0.244 x1
Co: 0.231 0.000 0.364 x1
Co: 0.283 0.500 0.930 x1
Co: 0.726 0.500 0.920 x1
Cu: 0.505 0.000 0.063 x1
Cu: 0.784 0.000 0.386 x1

Most intense lines, 5 to 70 degrees two-theta, in order of rising 2θ:
2θ 29.77, intensity 51, (1 1 -1)
2θ 29.92, intensity 56, (1 1 1)
2θ 33.50, intensity 34, (2 0 0)
2θ 37.12, intensity 41, (1 1 -2)
2θ 37.36, intensity 65, (1 1 2)
2θ 38.17, intensity 51, (0 0 3)
2θ 41.92, intensity 89, (2 1 -1)
2θ 42.14, intensity 88, (2 1 1)
2θ 42.15, intensity 32, (2 0 -2)
2θ 43.05, intensity 100, (0 2 0)
2θ 44.04, intensity 96, (0 1 3)
2θ 58.87, intensity 27, (0 2 3)

***

Record 3
Starting from a DFT-relaxed cell (GGA-PBE, Alexandria), the powder diffraction line list of Re6Tc8W was calculated for CuKα.

Cell: 9.523 8.823 5.534 Å, 90.00 90.07 90.00°
Space group Cm (No. 8)
One atom of each set of equivalent atoms:
Re: 0.000 0.000 0.000 x2
Re: 0.164 0.254 0.489 x4
Re: 0.245 0.000 0.243 x2
Re: 0.415 0.261 0.744 x4
Tc: 0.001 0.500 0.490 x2
Tc: 0.164 0.261 0.005 x4
Tc: 0.237 0.500 0.744 x2
Tc: 0.407 0.251 0.243 x4
Tc: 0.495 0.000 0.995 x2
Tc: 0.496 0.500 0.489 x2
W: 0.248 0.000 0.742 x2

Most intense lines, 5 to 70 degrees two-theta, in order of rising 2θ:
2θ 13.68, intensity 15, (1 1 0)
2θ 16.02, intensity 5, (0 0 1)
2θ 32.05, intensity 7, (2 2 1)
2θ 37.60, intensity 25, (2 0 -2)
2θ 37.79, intensity 12, (4 0 0)
2θ 40.91, intensity 38, (0 4 0)
2θ 43.01, intensity 100, (2 2 2)
2θ 43.18, intensity 50, (4 2 0)
2θ 56.77, intensity 15, (2 4 -2)
2θ 56.91, intensity 7, (4 4 0)
2θ 67.72, intensity 11, (0 0 4)
2θ 68.10, intensity 17, (6 0 2)

***

Record 4
Starting from a DFT-relaxed cell (GGA-PBE, Alexandria), the powder diffraction line list of LiAg2I4 was calculated for CuKα.

Cell: 6.300 6.300 6.484 Å, 90.00 90.00 90.00°
Space group P-42m (No. 111)
One atom of each set of equivalent atoms:
Li: 0.000 0.000 0.000 x1
Ag: 0.000 0.500 0.500 x2
I: 0.258 0.258 0.234 x4

Most intense lines, 5 to 70 degrees two-theta, in order of rising 2θ:
2θ 13.66, intensity 9, (0 0 1)
2θ 19.93, intensity 13, (1 1 0)
2θ 24.24, intensity 100, (1 1 1)
2θ 28.33, intensity 8, (2 0 0)
2θ 31.58, intensity 12, (2 0 1)
2θ 34.21, intensity 8, (1 1 2)
2θ 39.91, intensity 45, (2 0 2)
2θ 40.50, intensity 22, (2 2 0)
2θ 46.72, intensity 16, (1 1 3)
2θ 47.76, intensity 31, (3 1 1)
2θ 58.62, intensity 7, (4 0 0)
2θ 63.51, intensity 12, (3 1 3)